# 1
This entry pairs a crystal structure of RbPdAuS3 with its simulated XRD peak list. Radiation: a wavelength of 1.5418 Å. Structure: a structure optimized by DFT (PBE).
No peak broadening, texture or thermal motion is included.

Peak list (10 most intense, 2θ = 5–70°, by intensity)
d_spacing	intensity	hkl
2.905	100	1 3 1
7.806	73	0 2 0
6.196	66	0 2 1
2.954	49	1 1 2
2.547	46	0 0 4
2.261	39	1 3 3
3.030	37	1 3 0
2.394	31	1 5 0
3.644	31	0 4 1
1.503	29	2 0 4

```
data_RbPdAuS3
_chemical_formula_sum 'Rb4 Pd4 Au4 S12'
_cell_length_a 3.728
_cell_length_b 15.611
_cell_length_c 10.186
_cell_angle_alpha 90.00
_cell_angle_beta 90.00
_cell_angle_gamma 90.00
_space_group_name_H-M_alt 'C m c m'
_space_group_IT_number 63
_space_group_name_Hall '-C 2c 2'
loop_
_atom_site_label
_atom_site_type_symbol
_atom_site_fract_x
_atom_site_fract_y
_atom_site_fract_z
_atom_site_occupancy
Rb1 Rb 0.000 0.219 0.250 1
Pd1 Pd 0.000 0.500 0.000 1
Au1 Au 0.000 0.094 0.750 1
S1 S 0.000 0.100 0.522 1
S2 S 0.000 0.460 0.750 1
```


# 2
This entry pairs a crystal structure of Ta17Ni12 with its simulated XRD peak list. Radiation: a wavelength of 1.5418 Å. Structure: a structure optimized by DFT (PBE).
No peak broadening, texture or thermal motion is included.

Peak list (10 most intense, 2θ = 5–70°, by intensity)
d_spacing	intensity	hkl
2.273	100	4 1 1
2.056	43	3 3 2
1.364	29	5 5 0
2.578	26	3 2 1
1.891	21	4 3 1
2.784	16	2 2 2
2.411	15	4 0 0
1.969	14	4 2 2
3.937	11	2 1 1
1.565	10	6 1 1

```
data_Ta17Ni12
_chemical_formula_sum 'Ta34 Ni24'
_cell_length_a 9.645
_cell_length_b 9.645
_cell_length_c 9.645
_cell_angle_alpha 90.00
_cell_angle_beta 90.00
_cell_angle_gamma 90.00
_space_group_name_H-M_alt 'I -4 3 m'
_space_group_IT_number 217
_space_group_name_Hall 'I -4 2 3'
loop_
_atom_site_label
_atom_site_type_symbol
_atom_site_fract_x
_atom_site_fract_y
_atom_site_fract_z
_atom_site_occupancy
Ta1 Ta 0.000 0.000 0.000 1
Ta2 Ta 0.099 0.099 0.701 1
Ta3 Ta 0.179 0.179 0.179 1
Ni1 Ni 0.053 0.366 0.634 1
```


# 3
This entry pairs a crystal structure of Zr3Sc2Al3 with its simulated XRD peak list. Radiation: a wavelength of 1.5418 Å. Structure: a structure optimized by DFT (PBE).
No peak broadening, texture or thermal motion is included.

Peak list (10 most intense, 2θ = 5–70°, by intensity)
d_spacing	intensity	hkl
2.433	100	0 1 2
2.418	97	2 1 0
2.451	53	0 2 0
2.463	50	2 0 -2
1.737	33	2 2 -2
3.689	32	0 1 1
1.411	31	0 3 2
5.605	26	0 0 1
1.409	17	2 3 0
1.393	15	2 2 2

```
data_Zr3Sc2Al3
_chemical_formula_sum 'Zr3 Sc2 Al3'
_cell_length_a 5.952
_cell_length_b 4.902
_cell_length_c 6.003
_cell_angle_alpha 90.00
_cell_angle_beta 110.97
_cell_angle_gamma 90.00
_space_group_name_H-M_alt 'P 1 m 1'
_space_group_IT_number 6
loop_
_space_group_symop_operation_xyz
'x,y,z'
'x,-y,z'
loop_
_atom_site_label
_atom_site_type_symbol
_atom_site_fract_x
_atom_site_fract_y
_atom_site_fract_z
_atom_site_occupancy
Zr1 Zr 0.000 0.000 0.000 1
Zr2 Zr 0.229 0.500 0.705 1
Zr3 Zr 0.755 0.500 0.725 1
Sc1 Sc 0.457 0.000 0.475 1
Sc2 Sc 0.746 0.500 0.219 1
Al1 Al 0.247 0.500 0.208 1
Al2 Al 0.501 0.000 0.974 1
Al3 Al 0.948 0.000 0.500 1
```


# 4
This entry pairs a crystal structure of Y2Er5Ni2Te2 with its simulated XRD peak list. Radiation: a wavelength of 1.5418 Å. Structure: a structure optimized by DFT (PBE).
No peak broadening, texture or thermal motion is included.

Peak list (10 most intense, 2θ = 5–70°, by intensity)
d_spacing	intensity	hkl
2.623	100	1 4 1
2.711	60	0 3 3
2.935	49	1 1 2
2.589	49	0 6 0
1.565	29	2 3 3
1.781	24	1 7 2
1.916	23	2 0 0
2.009	15	1 1 4
3.118	14	0 1 3
2.335	14	1 2 3

```
data_Y2Er5Ni2Te2
_chemical_formula_sum 'Y4 Er10 Ni4 Te4'
_cell_length_a 3.833
_cell_length_b 15.534
_cell_length_c 9.548
_cell_angle_alpha 90.00
_cell_angle_beta 90.00
_cell_angle_gamma 90.00
_space_group_name_H-M_alt 'I m m 2'
_space_group_IT_number 44
loop_
_space_group_symop_operation_xyz
'x,y,z'
'-x,-y,z'
'-x,y,z'
'x,-y,z'
'x+1/2,y+1/2,z+1/2'
'-x+1/2,-y+1/2,z+1/2'
'-x+1/2,y+1/2,z+1/2'
'x+1/2,-y+1/2,z+1/2'
loop_
_atom_site_label
_atom_site_type_symbol
_atom_site_fract_x
_atom_site_fract_y
_atom_site_fract_z
_atom_site_occupancy
Y1 Y 0.000 0.184 0.000 1
Er1 Er 0.000 0.147 0.649 1
Er2 Er 0.000 0.368 0.798 1
Er3 Er 0.000 0.500 0.379 1
Ni1 Ni 0.000 0.261 0.307 1
Te1 Te 0.000 0.000 0.144 1
Te2 Te 0.000 0.500 0.044 1
```